1.
Pa2Ge4Pd3: computed powder X-ray diffraction pattern (copper Kα), based on a structure optimized by DFT (PBE).
No peak broadening, texture or thermal motion is included.

Structure:
Cell: 5.8753 14.8387 7.6153 Å, 90.00 90.00 90.00°
Space group Cmce (No. 64)
Symmetry-distinct sites (fractional):
Pa: 0.0000 0.1122 0.0851 (multiplicity 8)
Ge: 0.0000 0.1786 0.4665 (multiplicity 8)
Ge: 0.2500 0.0491 0.7500 (multiplicity 8)
Pd: 0.0000 0.0000 0.5000 (multiplicity 4)
Pd: 0.2500 0.2201 0.7500 (multiplicity 8)

The 6 most intense peaks (10° ≤ 2θ ≤ 90°), by angle:
(hkl), two_theta, d_spacing, I (rel.)
1 3 2, 33.38, 2.684, 44.1
2 2 1, 34.90, 2.571, 55.4
1 5 1, 35.89, 2.502, 100.0
0 2 3, 37.44, 2.402, 60.7
2 0 2, 38.71, 2.326, 82.0
2 4 0, 39.12, 2.303, 43.4



2.
AcDy2P2N6: computed powder X-ray diffraction pattern (copper Kα), based on a structure optimized by DFT (PBE).
No peak broadening, texture or thermal motion is included.

Structure:
Cell: 5.8621 5.9804 6.2299 Å, 116.23 90.56 117.29°
Space group P-1 (No. 2)
Symmetry-distinct sites (fractional):
Ac: 0.0000 0.0000 0.0000 (multiplicity 1)
Dy: 0.2921 0.4254 0.6926 (multiplicity 2)
P: 0.3497 0.7927 0.3092 (multiplicity 2)
N: 0.1267 0.8786 0.3035 (multiplicity 2)
N: 0.2857 0.5344 0.3740 (multiplicity 2)
N: 0.4710 0.2111 0.8882 (multiplicity 2)

The 6 most intense peaks (10° ≤ 2θ ≤ 90°), by angle:
(hkl), two_theta, d_spacing, I (rel.)
1 -1 0, 18.25, 4.862, 100.0
1 0 1, 27.32, 3.265, 54.9
0 1 -2, 28.80, 3.100, 70.2
1 1 -1, 29.06, 3.073, 69.8
0 1 1, 31.29, 2.858, 63.2
2 0 -1, 35.22, 2.548, 55.6



3.
AcCoAg: computed powder X-ray diffraction pattern (copper Kα), based on a structure optimized by DFT (PBE).
No peak broadening, texture or thermal motion is included.

Structure:
Cell: 4.1605 17.2317 4.0119 Å, 90.00 90.00 90.00°
Space group Cmcm (No. 63)
Symmetry-distinct sites (fractional):
Ac: 0.0000 0.1023 0.2500 (multiplicity 4)
Co: 0.0000 0.4690 0.2500 (multiplicity 4)
Ag: 0.0000 0.2943 0.2500 (multiplicity 4)

The 6 most intense peaks (10° ≤ 2θ ≤ 90°), by angle:
(hkl), two_theta, d_spacing, I (rel.)
0 4 1, 30.45, 2.936, 26.4
1 1 1, 31.41, 2.848, 100.0
1 5 0, 33.77, 2.654, 86.6
1 3 1, 34.77, 2.580, 32.6
0 6 1, 38.55, 2.335, 44.3
1 5 2, 57.60, 1.600, 37.1